1.
For Mg2BO3F, a GGA-PBE-relaxed structure gives the calculated powder diffraction line list in this record (λ = 1.5418 Å (Cu Kα)).
No peak broadening, texture or thermal motion is included.

Top 10 peaks for 2θ from 5° to 70°, sorted by position:
2theta  Rel. int.
29.75  35
34.10  42
34.31  100
35.62  38
42.60  42
45.03  46
50.14  34
56.79  39
58.84  31
60.44  27

Atomic structure:
```
data_Mg2BO3F
_space_group_name_H-M_alt 'P n m a'
_space_group_IT_number 62
_cell_length_a 9.441
_cell_length_b 3.139
_cell_length_c 9.504
_cell_angle_alpha 90.00
_cell_angle_beta 90.00
_cell_angle_gamma 90.00
loop_
_space_group_symop_operation_xyz
'x,y,z'
'-x,-y,-z'
'-x+1/2,-y,z+1/2'
'x+1/2,y,-z+1/2'
'x+1/2,-y+1/2,-z+1/2'
'-x+1/2,y+1/2,z+1/2'
'-x,y+1/2,-z'
'x,-y+1/2,z'
loop_
_atom_site_label
_atom_site_fract_x
_atom_site_fract_y
_atom_site_fract_z
_atom_site_occupancy
Mg1 0.101 0.250 0.181 1
Mg2 0.136 0.250 0.570 1
B1 0.173 0.250 0.869 1
O1 0.030 0.250 0.856 1
O2 0.238 0.250 0.002 1
O3 0.243 0.750 0.248 1
F1 0.007 0.250 0.390 1
```

---

2.
For BNF4, a GGA-PBE-relaxed structure gives the calculated powder diffraction line list in this record (λ = 1.5418 Å (Cu Kα)).
No peak broadening, texture or thermal motion is included.

Top 10 peaks for 2θ from 5° to 70°, sorted by position:
2theta  Rel. int.
16.18  81
21.23  57
22.53  100
23.38  58
31.31  79
32.70  82
37.56  44
38.79  92
40.07  66
45.27  64

Atomic structure:
```
data_BNF4
_space_group_name_H-M_alt 'P n m a'
_space_group_IT_number 62
_cell_length_a 7.609
_cell_length_b 4.937
_cell_length_c 7.891
_cell_angle_alpha 90.00
_cell_angle_beta 90.00
_cell_angle_gamma 90.00
loop_
_space_group_symop_operation_xyz
'x,y,z'
'-x,-y,-z'
'-x+1/2,-y,z+1/2'
'x+1/2,y,-z+1/2'
'x+1/2,-y+1/2,-z+1/2'
'-x+1/2,y+1/2,z+1/2'
'-x,y+1/2,-z'
'x,-y+1/2,z'
loop_
_atom_site_label
_atom_site_fract_x
_atom_site_fract_y
_atom_site_fract_z
_atom_site_occupancy
B1 0.054 0.250 0.172 1
N1 0.125 0.250 0.749 1
F1 0.057 0.015 0.290 1
F2 0.099 0.750 0.920 1
F3 0.207 0.250 0.079 1
```

---

3.
For BNF4, a GGA-PBE-relaxed structure gives the calculated powder diffraction line list in this record (λ = 1.5418 Å (Cu Kα)).
No peak broadening, texture or thermal motion is included.

Top 10 peaks for 2θ from 5° to 70°, sorted by position:
2theta  Rel. int.
16.00  30
19.09  79
22.56  39
22.85  100
29.77  31
32.32  80
35.14  47
36.05  25
37.63  34
54.48  20

Atomic structure:
```
data_BNF4
_space_group_name_H-M_alt 'P n m a'
_space_group_IT_number 62
_cell_length_a 7.785
_cell_length_b 5.756
_cell_length_c 7.883
_cell_angle_alpha 90.00
_cell_angle_beta 90.00
_cell_angle_gamma 90.00
loop_
_space_group_symop_operation_xyz
'x,y,z'
'-x,-y,-z'
'-x+1/2,-y,z+1/2'
'x+1/2,y,-z+1/2'
'x+1/2,-y+1/2,-z+1/2'
'-x+1/2,y+1/2,z+1/2'
'-x,y+1/2,-z'
'x,-y+1/2,z'
loop_
_atom_site_label
_atom_site_fract_x
_atom_site_fract_y
_atom_site_fract_z
_atom_site_occupancy
B1 0.036 0.250 0.170 1
N1 0.004 0.250 0.739 1
F1 0.026 0.055 0.296 1
F2 0.105 0.750 0.932 1
F3 0.190 0.250 0.090 1
```

---

4.
For BS4N4F3, a GGA-PBE-relaxed structure gives the calculated powder diffraction line list in this record (λ = 1.5418 Å (Cu Kα)).
No peak broadening, texture or thermal motion is included.

Top 10 peaks for 2θ from 5° to 70°, sorted by position:
2theta  Rel. int.
13.75  27
14.37  34
14.85  46
16.03  60
18.12  39
20.15  68
26.06  59
27.26  100
28.74  30
36.72  31

Atomic structure:
```
data_BS4N4F3
_space_group_name_H-M_alt 'P 1 21/c 1'
_space_group_IT_number 14
_cell_length_a 7.496
_cell_length_b 10.917
_cell_length_c 12.867
_cell_angle_alpha 90.00
_cell_angle_beta 120.77
_cell_angle_gamma 90.00
loop_
_space_group_symop_operation_xyz
'x,y,z'
'-x,-y,-z'
'-x,y+1/2,-z+1/2'
'x,-y+1/2,z+1/2'
loop_
_atom_site_label
_atom_site_fract_x
_atom_site_fract_y
_atom_site_fract_z
_atom_site_occupancy
B1 0.209 0.097 0.199 1
S1 0.182 0.666 0.718 1
S2 0.229 0.048 0.686 1
S3 0.356 0.573 0.591 1
S4 0.414 0.156 0.550 1
N1 0.239 0.540 0.668 1
N2 0.291 0.062 0.586 1
N3 0.362 0.698 0.853 1
N4 0.397 0.062 0.823 1
F1 0.096 0.161 0.088 1
F2 0.099 0.090 0.260 1
F3 0.404 0.152 0.271 1
```